# 1
Structure and calculated powder diffraction line list of Li2Mg9Tl (a GGA-PBE-relaxed structure; Cu Kα (weighted mean of Kα1 and Kα2)).
Lines closer than 0.1° are merged.

Main lines, by angle (2θ from 10° to 80°):
two_theta	I_rel
11.69	70
12.15	100
15.92	32
17.81	36
18.90	35
21.59	29
27.13	31
35.13	43
36.36	60
37.54	35

Cell and atoms:
```
Li2Mg9Tl
1.0
5.035 0.000 0.000
0.530 7.620 0.000
2.315 0.816 7.283
Li Mg Tl
2 9 1
direct
0.243 0.347 0.468
0.757 0.653 0.532
0.000 0.000 0.500
0.045 0.172 0.876
0.117 0.607 0.764
0.374 0.707 0.326
0.444 0.115 0.153
0.556 0.885 0.847
0.626 0.293 0.674
0.883 0.393 0.236
0.955 0.828 0.124
0.500 0.500 0.000
```



# 2
Structure and calculated powder diffraction line list of Li6Mg4Tl (a GGA-PBE-relaxed structure; Cu Kα (weighted mean of Kα1 and Kα2)).
Lines closer than 0.1° are merged.

Main lines, by angle (2θ from 10° to 80°):
two_theta	I_rel
12.24	53
16.02	100
18.43	80
21.33	32
21.85	67
24.35	26
24.66	58
37.32	72
37.71	33
38.05	36

Cell and atoms:
```
Li6Mg4Tl
1.0
3.804 -4.165 0.000
3.804 4.165 0.000
-1.717 0.000 7.231
Li Mg Tl
6 4 1
direct
0.000 0.000 0.000
0.093 0.466 0.804
0.331 0.689 0.508
0.406 0.406 0.147
0.466 0.093 0.804
0.689 0.331 0.508
0.159 0.159 0.409
0.545 0.925 0.202
0.852 0.852 0.590
0.925 0.545 0.202
0.602 0.602 0.850
```



# 3
Structure and calculated powder diffraction line list of LiMg8Tl2 (a GGA-PBE-relaxed structure; Cu Kα (weighted mean of Kα1 and Kα2)).
Lines closer than 0.1° are merged.

Main lines, by angle (2θ from 10° to 80°):
two_theta	I_rel
15.16	43
18.88	91
24.30	46
26.83	29
29.78	53
30.96	53
35.50	100
38.31	47
49.26	27
67.45	31

Cell and atoms:
```
LiMg8Tl2
1.0
4.699 0.000 0.000
0.000 4.699 0.000
0.000 0.000 11.692
Li Mg Tl
1 8 2
direct
0.000 0.000 0.000
0.000 0.500 0.135
0.000 0.500 0.500
0.000 0.500 0.865
0.500 0.000 0.135
0.500 0.000 0.500
0.500 0.000 0.865
0.500 0.500 0.321
0.500 0.500 0.679
0.000 0.000 0.314
0.000 0.000 0.686
```



Repeat the third record exactly.
Structure and calculated powder diffraction line list of LiMg8Tl2 (a GGA-PBE-relaxed structure; Cu Kα (weighted mean of Kα1 and Kα2)).
Lines closer than 0.1° are merged.

Main lines, by angle (2θ from 10° to 80°):
two_theta	I_rel
15.16	43
18.88	91
24.30	46
26.83	29
29.78	53
30.96	53
35.50	100
38.31	47
49.26	27
67.45	31

Cell and atoms:
```
LiMg8Tl2
1.0
4.699 0.000 0.000
0.000 4.699 0.000
0.000 0.000 11.692
Li Mg Tl
1 8 2
direct
0.000 0.000 0.000
0.000 0.500 0.135
0.000 0.500 0.500
0.000 0.500 0.865
0.500 0.000 0.135
0.500 0.000 0.500
0.500 0.000 0.865
0.500 0.500 0.321
0.500 0.500 0.679
0.000 0.000 0.314
0.000 0.000 0.686
```



Please write out number 1 again, unchanged.
Structure and calculated powder diffraction line list of Li2Mg9Tl (a GGA-PBE-relaxed structure; Cu Kα (weighted mean of Kα1 and Kα2)).
Lines closer than 0.1° are merged.

Main lines, by angle (2θ from 10° to 80°):
two_theta	I_rel
11.69	70
12.15	100
15.92	32
17.81	36
18.90	35
21.59	29
27.13	31
35.13	43
36.36	60
37.54	35

Cell and atoms:
```
Li2Mg9Tl
1.0
5.035 0.000 0.000
0.530 7.620 0.000
2.315 0.816 7.283
Li Mg Tl
2 9 1
direct
0.243 0.347 0.468
0.757 0.653 0.532
0.000 0.000 0.500
0.045 0.172 0.876
0.117 0.607 0.764
0.374 0.707 0.326
0.444 0.115 0.153
0.556 0.885 0.847
0.626 0.293 0.674
0.883 0.393 0.236
0.955 0.828 0.124
0.500 0.500 0.000
```